[1]
Computed powder XRD pattern of MgHN for Cu Kα (weighted mean of Kα1 and Kα2), from a cell relaxed with PBE.

Atomic structure:
Cell: 11.6070 11.6070 3.7150 Å, 90.00 90.00 120.00°
Space group P6/m (No. 175)
One atom of each set of equivalent atoms:
Mg  0.0706  0.4250  0.0000 (multiplicity 6)
Mg  0.1350  0.7184  0.5000 (multiplicity 6)
H  0.0558  0.2460  0.5000 (multiplicity 6)
H  0.2396  0.6659  0.0000 (multiplicity 6)
N  0.0741  0.3424  0.5000 (multiplicity 6)
N  0.1390  0.6315  0.0000 (multiplicity 6)

Most intense lines, 10° ≤ 2θ ≤ 90°, by angle:
2theta  I/Imax  (hkl)
15.27  100  1 1 0
23.41  34  2 1 0
29.91  42  2 0 1
33.74  47  2 1 1
41.15  24  1 4 0
46.34  42  3 2 1
49.04  24  0 0 2
54.23  30  4 2 1

[2]
Computed powder XRD pattern of Eu2SbAu for Cu Kα (weighted mean of Kα1 and Kα2), from a cell relaxed with PBE.

Atomic structure:
Cell: 7.709 7.709 7.709 Å, 90.00 90.00 90.00°
Space group Fm-3m (No. 225)
One atom of each set of equivalent atoms:
Eu  0.250  0.250  0.250 (multiplicity 8)
Sb  0.000  0.000  0.000 (multiplicity 4)
Au  0.000  0.000  0.500 (multiplicity 4)

Most intense lines, 10° ≤ 2θ ≤ 90°, by angle:
2theta  I/Imax  (hkl)
19.95  3  1 1 1
32.86  100  2 2 0
38.74  2  3 1 1
47.16  18  4 0 0
58.67  38  4 2 2
68.90  12  4 4 0
78.46  17  6 2 0
87.71  4  4 4 4

[3]
Computed powder XRD pattern of Li2HClO for Cu Kα (weighted mean of Kα1 and Kα2), from a cell relaxed with PBE.

Atomic structure:
Cell: 9.531 5.558 5.844 Å, 90.00 90.00 90.00°
Space group Pnma (No. 62)
One atom of each set of equivalent atoms:
Li  0.123  0.000  0.070 (multiplicity 8)
H  0.054  0.250  0.744 (multiplicity 4)
Cl  0.192  0.250  0.402 (multiplicity 4)
O  0.021  0.250  0.903 (multiplicity 4)

Most intense lines, 10° ≤ 2θ ≤ 90°, by angle:
2theta  I/Imax  (hkl)
23.99  100  1 1 1
24.61  62  2 1 0
29.03  61  2 1 1
32.05  62  3 0 1
32.21  32  0 2 0
35.99  52  1 1 2
46.08  74  3 2 1
53.42  20  2 1 3

[4]
Computed powder XRD pattern of NdSmO2 for Cu Kα (weighted mean of Kα1 and Kα2), from a cell relaxed with PBE.

Atomic structure:
Cell: 3.5256 3.5256 17.5854 Å, 90.00 90.00 120.00°
Space group R-3m (No. 166, hexagonal axes)
One atom of each set of equivalent atoms:
Nd  0.0000  0.0000  0.0000 (multiplicity 3)
Sm  0.0000  0.0000  0.5000 (multiplicity 3)
O  0.0000  0.0000  0.2433 (multiplicity 6)

Most intense lines, 10° ≤ 2θ ≤ 90°, by angle:
2theta  I/Imax  (hkl)
30.50  32  0 0 6
31.00  93  0 1 2
35.81  100  1 0 4
51.21  35  0 1 8
51.87  34  1 1 0
61.37  28  1 1 6
64.63  17  0 2 4
86.33  15  1 1 12

[5]
Computed powder XRD pattern of Na2AlGe7O16 for Cu Kα (weighted mean of Kα1 and Kα2), from a cell relaxed with PBE.

Atomic structure:
Cell: 7.544 7.986 8.084 Å, 114.89 100.10 107.58°
Space group P1 (No. 1)
One atom of each set of equivalent atoms:
Na  0.000  0.000  0.000 (multiplicity 1)
Na  0.249  0.568  0.517 (multiplicity 1)
Al  0.332  0.451  0.112 (multiplicity 1)
Ge  0.352  0.095  0.451 (multiplicity 1)
Ge  0.433  0.081  0.851 (multiplicity 1)
Ge  0.477  0.827  0.060 (multiplicity 1)
Ge  0.757  0.724  0.453 (multiplicity 1)
Ge  0.810  0.488  0.675 (multiplicity 1)
Ge  0.895  0.465  0.071 (multiplicity 1)
Ge  0.909  0.109  0.406 (multiplicity 1)
O  0.100  0.420  0.144 (multiplicity 1)
O  0.144  0.145  0.372 (multiplicity 1)
O  0.308  0.198  0.990 (multiplicity 1)
O  0.318  0.977  0.595 (multiplicity 1)
O  0.365  0.926  0.231 (multiplicity 1)
O  0.394  0.846  0.849 (multiplicity 1)
O  0.407  0.571  0.982 (multiplicity 1)
O  0.500  0.591  0.357 (multiplicity 1)
O  0.551  0.342  0.587 (multiplicity 1)
O  0.692  0.222  0.931 (multiplicity 1)
O  0.743  0.972  0.158 (multiplicity 1)
O  0.837  0.993  0.543 (multiplicity 1)
O  0.853  0.720  0.670 (multiplicity 1)
O  0.880  0.640  0.288 (multiplicity 1)
O  0.927  0.587  0.929 (multiplicity 1)
O  0.939  0.369  0.529 (multiplicity 1)

Most intense lines, 10° ≤ 2θ ≤ 90°, by angle:
2theta  I/Imax  (hkl)
13.13  22  0 1 -1
20.76  74  -1 1 1
22.35  24  0 1 -2
22.53  41  1 1 0
26.22  47  -2 1 1
26.44  100  2 0 0
28.53  41  1 -2 2
33.84  45  1 1 -3

[6]
Computed powder XRD pattern of VW2C3 for Cu Kα (weighted mean of Kα1 and Kα2), from a cell relaxed with PBE.

Atomic structure:
Cell: 3.049 4.324 9.170 Å, 90.00 90.00 90.00°
Space group Immm (No. 71)
One atom of each set of equivalent atoms:
V  0.000  0.000  0.000 (multiplicity 2)
W  0.000  0.000  0.334 (multiplicity 4)
C  0.000  0.500  0.000 (multiplicity 2)
C  0.000  0.500  0.339 (multiplicity 4)

Most intense lines, 10° ≤ 2θ ≤ 90°, by angle:
2theta  I/Imax  (hkl)
19.36  12  0 0 2
22.74  19  0 1 1
30.91  9  1 0 1
36.01  100  1 1 0
41.83  67  1 0 3
60.61  36  1 2 3
72.54  27  1 3 0
72.68  13  2 1 3